No. 1
Structure and calculated powder XRD pattern of Tb4Dy15Ho (a PBE-relaxed structure; copper Kα).
Intensities are scaled so that the largest is 100.

Largest 8 diffraction maxima, sorted by position, 10° ≤ 2θ ≤ 90°:
| Position (°2θ) | d [Å] | intensity |
| --- | --- | --- |
| 30.95 | 2.889 | 100 |
| 35.89 | 2.502 | 51 |
| 51.67 | 1.769 | 36 |
| 61.46 | 1.509 | 43 |
| 64.51 | 1.445 | 12 |
| 76.09 | 1.251 | 6 |
| 84.37 | 1.148 | 18 |
| 87.10 | 1.119 | 17 |

Cell and atoms:
Cell lengths 5.004, 5.004, 25.024 Å; angles 90.00, 90.00, 90.00 degrees
Fractional coordinates of all 20 atoms:
Tb: 0.000 0.000 0.100
Tb: 0.000 0.000 0.300
Tb: 0.000 0.000 0.700
Tb: 0.000 0.000 0.900
Dy: 0.000 0.500 0.000
Dy: 0.000 0.500 0.200
Dy: 0.000 0.500 0.400
Dy: 0.000 0.500 0.600
Dy: 0.000 0.500 0.800
Dy: 0.500 0.000 0.000
Dy: 0.500 0.000 0.200
Dy: 0.500 0.000 0.400
Dy: 0.500 0.000 0.600
Dy: 0.500 0.000 0.800
Dy: 0.500 0.500 0.100
Dy: 0.500 0.500 0.300
Dy: 0.500 0.500 0.500
Dy: 0.500 0.500 0.700
Dy: 0.500 0.500 0.900
Ho: 0.000 0.000 0.500

---

No. 2
Structure and calculated powder XRD pattern of Tb2Dy4Ho7 (a PBE-relaxed structure; copper Kα).
Intensities are scaled so that the largest is 100.

Largest 12 diffraction maxima, sorted by position, 10° ≤ 2θ ≤ 90°:
| Position (°2θ) | d [Å] | intensity |
| --- | --- | --- |
| 27.15 | 3.285 | 25 |
| 28.71 | 3.109 | 53 |
| 30.89 | 2.895 | 62 |
| 31.27 | 2.860 | 100 |
| 31.47 | 2.843 | 41 |
| 31.60 | 2.831 | 52 |
| 32.57 | 2.749 | 59 |
| 33.16 | 2.702 | 78 |
| 33.51 | 2.674 | 36 |
| 33.78 | 2.654 | 21 |
| 33.95 | 2.641 | 47 |
| 60.43 | 1.532 | 34 |

Cell and atoms:
Cell lengths 6.345, 6.415, 11.499 Å; angles 88.49, 78.78, 64.48 degrees
Fractional coordinates of all 13 atoms:
Tb: 0.071 0.213 0.014
Tb: 0.929 0.787 0.986
Dy: 0.229 0.212 0.471
Dy: 0.370 0.654 0.390
Dy: 0.630 0.346 0.610
Dy: 0.771 0.788 0.529
Ho: 0.003 0.436 0.754
Ho: 0.164 0.875 0.701
Ho: 0.444 0.001 0.179
Ho: 0.500 0.500 0.000
Ho: 0.556 0.999 0.821
Ho: 0.836 0.125 0.299
Ho: 0.997 0.564 0.246

---

No. 3
Structure and calculated powder XRD pattern of TbDy14Ho (a PBE-relaxed structure; copper Kα).
Intensities are scaled so that the largest is 100.

Largest 12 diffraction maxima, sorted by position, 10° ≤ 2θ ≤ 90°:
| Position (°2θ) | d [Å] | intensity |
| --- | --- | --- |
| 30.11 | 2.968 | 43 |
| 31.34 | 2.854 | 34 |
| 33.10 | 2.706 | 100 |
| 37.62 | 2.391 | 24 |
| 49.75 | 1.833 | 11 |
| 51.49 | 1.775 | 26 |
| 56.92 | 1.618 | 21 |
| 61.53 | 1.507 | 30 |
| 62.59 | 1.484 | 16 |
| 80.30 | 1.196 | 8 |
| 85.24 | 1.138 | 14 |
| 87.79 | 1.112 | 15 |

Cell and atoms:
Cell lengths 11.416, 7.098, 7.098 Å; angles 60.01, 90.00, 90.00 degrees
Fractional coordinates of all 16 atoms:
Tb: 0.000 0.000 0.000
Dy: 0.000 0.000 0.500
Dy: 0.000 0.500 0.000
Dy: 0.250 0.167 0.167
Dy: 0.250 0.167 0.667
Dy: 0.250 0.667 0.167
Dy: 0.250 0.667 0.667
Dy: 0.500 0.333 0.333
Dy: 0.500 0.334 0.833
Dy: 0.500 0.833 0.334
Dy: 0.500 0.833 0.833
Dy: 0.750 0.167 0.167
Dy: 0.750 0.167 0.667
Dy: 0.750 0.667 0.167
Dy: 0.750 0.667 0.667
Ho: 0.000 0.500 0.500

---

No. 4
Structure and calculated powder XRD pattern of Tb5Dy8Ho (a PBE-relaxed structure; copper Kα).
Intensities are scaled so that the largest is 100.

Largest 12 diffraction maxima, sorted by position, 10° ≤ 2θ ≤ 90°:
| Position (°2θ) | d [Å] | intensity |
| --- | --- | --- |
| 28.25 | 3.159 | 63 |
| 29.53 | 3.025 | 69 |
| 29.69 | 3.009 | 80 |
| 32.01 | 2.796 | 23 |
| 34.06 | 2.632 | 100 |
| 34.75 | 2.582 | 49 |
| 35.15 | 2.553 | 55 |
| 55.53 | 1.655 | 18 |
| 56.69 | 1.624 | 17 |
| 59.83 | 1.546 | 17 |
| 63.58 | 1.463 | 22 |
| 87.64 | 1.113 | 16 |

Cell and atoms:
Cell lengths 8.398, 8.398, 8.398 Å; angles 110.97, 110.97, 106.51 degrees
Fractional coordinates of all 14 atoms:
Tb: 0.000 0.000 0.000
Tb: 0.213 0.534 0.899
Tb: 0.466 0.365 0.679
Tb: 0.635 0.314 0.101
Tb: 0.686 0.787 0.321
Dy: 0.160 0.072 0.737
Dy: 0.335 0.422 0.263
Dy: 0.419 0.025 0.254
Dy: 0.578 0.840 0.912
Dy: 0.771 0.166 0.746
Dy: 0.834 0.581 0.605
Dy: 0.928 0.665 0.088
Dy: 0.975 0.229 0.395
Ho: 0.250 0.750 0.500

---

No. 5
Structure and calculated powder XRD pattern of Tb7DyHo4 (a PBE-relaxed structure; copper Kα).
Intensities are scaled so that the largest is 100.

Largest 12 diffraction maxima, sorted by position, 10° ≤ 2θ ≤ 90°:
| Position (°2θ) | d [Å] | intensity |
| --- | --- | --- |
| 29.08 | 3.070 | 37 |
| 29.72 | 3.006 | 15 |
| 31.39 | 2.850 | 50 |
| 32.13 | 2.785 | 100 |
| 33.85 | 2.648 | 88 |
| 40.50 | 2.228 | 10 |
| 51.16 | 1.785 | 39 |
| 55.27 | 1.662 | 14 |
| 58.52 | 1.577 | 12 |
| 61.21 | 1.514 | 22 |
| 61.29 | 1.512 | 15 |
| 61.68 | 1.504 | 11 |

Cell and atoms:
Cell lengths 6.184, 7.143, 8.800 Å; angles 90.00, 76.28, 89.91 degrees
Fractional coordinates of all 12 atoms:
Tb: 0.000 0.000 0.000
Tb: 0.221 0.500 0.334
Tb: 0.279 0.249 0.666
Tb: 0.500 0.249 0.000
Tb: 0.500 0.751 0.000
Tb: 0.721 0.751 0.334
Tb: 0.779 0.500 0.666
Dy: 0.000 0.500 0.000
Ho: 0.221 0.000 0.334
Ho: 0.279 0.750 0.666
Ho: 0.721 0.250 0.334
Ho: 0.779 0.000 0.666

---

No. 6
Structure and calculated powder XRD pattern of Tb4DyHo6 (a PBE-relaxed structure; copper Kα).
Intensities are scaled so that the largest is 100.

Largest 12 diffraction maxima, sorted by position, 10° ≤ 2θ ≤ 90°:
| Position (°2θ) | d [Å] | intensity |
| --- | --- | --- |
| 30.64 | 2.918 | 67 |
| 30.87 | 2.897 | 48 |
| 31.57 | 2.834 | 62 |
| 32.23 | 2.778 | 100 |
| 32.42 | 2.761 | 16 |
| 33.60 | 2.668 | 43 |
| 44.73 | 2.026 | 35 |
| 55.64 | 1.652 | 13 |
| 56.64 | 1.625 | 20 |
| 56.75 | 1.622 | 21 |
| 58.20 | 1.585 | 13 |
| 60.82 | 1.523 | 13 |

Cell and atoms:
Cell lengths 5.557, 5.557, 25.495 Å; angles 90.00, 90.00, 118.68 degrees
Fractional coordinates of all 22 atoms:
Tb: 0.029 0.971 0.621
Tb: 0.029 0.971 0.879
Tb: 0.343 0.657 0.543
Tb: 0.343 0.657 0.957
Tb: 0.657 0.343 0.043
Tb: 0.657 0.343 0.457
Tb: 0.971 0.029 0.121
Tb: 0.971 0.029 0.379
Dy: 0.313 0.687 0.250
Dy: 0.687 0.313 0.750
Ho: 0.000 0.000 0.000
Ho: 0.000 0.000 0.500
Ho: 0.021 0.979 0.750
Ho: 0.309 0.691 0.105
Ho: 0.309 0.691 0.395
Ho: 0.357 0.643 0.682
Ho: 0.357 0.643 0.818
Ho: 0.643 0.357 0.182
Ho: 0.643 0.357 0.318
Ho: 0.691 0.309 0.605
Ho: 0.691 0.309 0.895
Ho: 0.979 0.021 0.250

---

No. 7
Structure and calculated powder XRD pattern of TbDy4Ho6 (a PBE-relaxed structure; copper Kα).
Intensities are scaled so that the largest is 100.

Largest 12 diffraction maxima, sorted by position, 10° ≤ 2θ ≤ 90°:
| Position (°2θ) | d [Å] | intensity |
| --- | --- | --- |
| 30.68 | 2.914 | 66 |
| 30.88 | 2.896 | 46 |
| 31.66 | 2.826 | 60 |
| 32.25 | 2.776 | 100 |
| 32.44 | 2.760 | 13 |
| 33.63 | 2.665 | 41 |
| 44.81 | 2.023 | 33 |
| 47.56 | 1.912 | 11 |
| 55.78 | 1.648 | 12 |
| 56.76 | 1.622 | 38 |
| 58.27 | 1.583 | 12 |
| 60.87 | 1.522 | 14 |

Cell and atoms:
Cell lengths 5.553, 5.553, 25.477 Å; angles 90.00, 90.00, 118.82 degrees
Fractional coordinates of all 22 atoms:
Tb: 0.185 0.815 0.750
Tb: 0.815 0.185 0.250
Dy: 0.158 0.842 0.042
Dy: 0.158 0.842 0.458
Dy: 0.473 0.527 0.121
Dy: 0.473 0.527 0.379
Dy: 0.527 0.473 0.621
Dy: 0.527 0.473 0.879
Dy: 0.842 0.158 0.542
Dy: 0.842 0.158 0.958
Ho: 0.145 0.855 0.182
Ho: 0.145 0.855 0.318
Ho: 0.189 0.811 0.604
Ho: 0.189 0.811 0.896
Ho: 0.481 0.519 0.250
Ho: 0.500 0.500 0.000
Ho: 0.500 0.500 0.500
Ho: 0.519 0.481 0.750
Ho: 0.811 0.189 0.104
Ho: 0.811 0.189 0.396
Ho: 0.855 0.145 0.682
Ho: 0.855 0.145 0.818

---

No. 8
Structure and calculated powder XRD pattern of Tb2DyHo7 (a PBE-relaxed structure; copper Kα).
Intensities are scaled so that the largest is 100.

Largest 12 diffraction maxima, sorted by position, 10° ≤ 2θ ≤ 90°:
| Position (°2θ) | d [Å] | intensity |
| --- | --- | --- |
| 31.07 | 2.878 | 100 |
| 36.03 | 2.493 | 51 |
| 51.86 | 1.763 | 30 |
| 51.95 | 1.760 | 6 |
| 61.68 | 1.504 | 28 |
| 61.76 | 1.502 | 14 |
| 64.81 | 1.439 | 9 |
| 76.42 | 1.246 | 6 |
| 84.66 | 1.145 | 6 |
| 84.78 | 1.144 | 9 |
| 87.43 | 1.115 | 7 |
| 87.52 | 1.115 | 7 |

Cell and atoms:
Cell lengths 6.101, 6.112, 9.318 Å; angles 102.61, 109.02, 99.56 degrees
Fractional coordinates of all 10 atoms:
Tb: 0.100 0.000 0.200
Tb: 0.900 0.000 0.800
Dy: 0.500 0.500 0.500
Ho: 0.100 0.500 0.700
Ho: 0.300 0.000 0.600
Ho: 0.300 0.500 0.100
Ho: 0.500 0.000 0.000
Ho: 0.700 0.000 0.400
Ho: 0.700 0.500 0.900
Ho: 0.900 0.500 0.300